Computed X-ray diffraction stick pattern of PrTmO4 for copper Kα, from the PBE geometry in Alexandria.
Lines closer than 0.1° are merged.

Principal peaks in the range 2θ from 15° to 90°, sorted by position:
(hkl)  two_theta  intensity
2 0 0  26.85  33.4
0 0 2  28.24  45.0
1 1 -1  29.18  100.0
1 1 1  30.89  37.8
2 0 1  32.05  22.7
3 1 0  47.17  24.4
1 1 -3  49.46  27.7
1 1 3  52.74  24.0

Structure:
Lattice parameters (Å, degrees): 6.7003 3.9123 6.3765 90.00 97.57 90.00
Space group Cm (No. 8)
One atom of each set of equivalent atoms:
Pr1 0.0000 0.0000 0.0000 (multiplicity 2)
Tm1 0.3875 0.0000 0.4605 (multiplicity 2)
O1 0.0482 0.0000 0.3891 (multiplicity 2)
O2 0.1141 0.5000 0.7818 (multiplicity 2)
O3 0.2842 0.5000 0.6482 (multiplicity 2)
O4 0.3476 0.0000 0.1052 (multiplicity 2)